No. 1
Simulated powder diffractogram of Nb3AlCo8 for Cu Kα, from the PBE geometry in the Materials Project.
Lines closer than 0.1° are merged.

Most intense lines, 2θ from 15° to 90°, in order of falling intensity:
h k l, 2θ/deg, I_rel
1 0 10, 44.83, 100
1 1 0, 37.96, 36
0 2 4, 46.94, 33
0 0 18, 73.37, 28
2 2 0, 81.14, 23
3 0 0, 68.56, 12
1 0 1, 21.98, 3
1 0 4, 26.59, 3
0 0 6, 22.97, 3
0 1 5, 29.03, 2

Crystal structure
```
data_Nb3AlCo8
_chemical_formula_sum 'Nb9 Al3 Co24'
_cell_length_a 4.7431
_cell_length_b 4.7431
_cell_length_c 23.2077
_cell_angle_alpha 90.00
_cell_angle_beta 90.00
_cell_angle_gamma 120.00
_space_group_name_H-M_alt 'R 3 m'
_space_group_IT_number 160
_space_group_name_Hall 'R 3 -2"'
loop_
_atom_site_label
_atom_site_type_symbol
_atom_site_fract_x
_atom_site_fract_y
_atom_site_fract_z
_atom_site_occupancy
Nb1 Nb 0.0000 0.0000 0.0000 1
Nb2 Nb 0.0000 0.0000 0.1251 1
Nb3 Nb 0.0000 0.0000 0.5057 1
Al1 Al 0.0000 0.0000 0.6283 1
Co1 Co 0.0000 0.0000 0.3139 1
Co2 Co 0.0000 0.0000 0.8146 1
Co3 Co 0.1678 0.3355 0.3983 1
Co4 Co 0.1678 0.3357 0.8981 1
```

No. 2
Simulated powder diffractogram of NbAlCo4 for Cu Kα, from the PBE geometry in the Materials Project.
Lines closer than 0.1° are merged.

Most intense lines, 2θ from 15° to 90°, in order of falling intensity:
h k l, 2θ/deg, I_rel
2 0 1, 45.86, 100
1 1 2, 45.07, 85
1 0 3, 41.73, 74
1 1 0, 38.04, 29
0 2 2, 50.55, 29
2 1 3, 71.25, 26
2 2 0, 81.36, 25
1 0 2, 32.02, 23
0 2 5, 77.95, 21
1 0 4, 52.84, 21

Crystal structure
```
data_NbAlCo4
_chemical_formula_sum 'Nb2 Al2 Co8'
_cell_length_a 4.7308
_cell_length_b 4.7308
_cell_length_c 7.6484
_cell_angle_alpha 90.00
_cell_angle_beta 90.00
_cell_angle_gamma 120.00
_space_group_name_H-M_alt 'P -3 m 1'
_space_group_IT_number 164
_space_group_name_Hall '-P 3 2"'
loop_
_atom_site_label
_atom_site_type_symbol
_atom_site_fract_x
_atom_site_fract_y
_atom_site_fract_z
_atom_site_occupancy
Nb1 Nb 0.3333 0.6667 0.4146 1
Al1 Al 0.3333 0.6667 0.0515 1
Co1 Co 0.0000 0.0000 0.0000 1
Co2 Co 0.0000 0.0000 0.5000 1
Co3 Co 0.1694 0.3389 0.7523 1
```

No. 3
Simulated powder diffractogram of Nb4Al5Co3 for Cu Kα, from the PBE geometry in the Materials Project.
Lines closer than 0.1° are merged.

Most intense lines, 2θ from 15° to 90°, in order of falling intensity:
h k l, 2θ/deg, I_rel
1 0 3, 39.62, 100
1 1 2, 42.34, 92
2 0 1, 42.87, 70
1 1 0, 35.55, 57
2 1 3, 66.58, 36
2 0 5, 73.37, 26
1 0 0, 20.30, 25
2 0 0, 41.28, 24
2 2 0, 75.26, 23
3 1 3, 88.57, 22

Crystal structure
```
data_Nb4Al5Co3
_chemical_formula_sum 'Nb4 Al5 Co3'
_cell_length_a 5.0505
_cell_length_b 5.0505
_cell_length_c 7.9911
_cell_angle_alpha 90.00
_cell_angle_beta 90.00
_cell_angle_gamma 120.00
_space_group_name_H-M_alt 'P -6 m 2'
_space_group_IT_number 187
_space_group_name_Hall 'P -6 2'
loop_
_atom_site_label
_atom_site_type_symbol
_atom_site_fract_x
_atom_site_fract_y
_atom_site_fract_z
_atom_site_occupancy
Nb1 Nb 0.0000 0.0000 0.1735 1
Nb2 Nb 0.3333 0.6667 0.2988 1
Al1 Al 0.3274 0.1637 0.5000 1
Al2 Al 0.6667 0.3333 0.2242 1
Co1 Co 0.0195 0.5097 0.0000 1
```

No. 4
Simulated powder diffractogram of Nd7Al7Co6 for Cu Kα, from the PBE geometry in the Materials Project.
Lines closer than 0.1° are merged.

Most intense lines, 2θ from 15° to 90°, in order of falling intensity:
h k l, 2θ/deg, I_rel
4 0 1, 33.62, 100
3 3 1, 34.88, 54
4 3 1, 39.02, 47
2 1 1, 25.73, 37
6 1 0, 39.58, 36
0 0 2, 43.34, 35
1 1 1, 23.16, 28
4 2 1, 36.11, 24
8 2 1, 59.30, 22
4 4 0, 36.70, 21

Crystal structure
```
data_Nd7Al7Co6
_chemical_formula_sum 'Nd14 Al14 Co12'
_cell_length_a 13.851
_cell_length_b 13.851
_cell_length_c 4.175
_cell_angle_alpha 90.00
_cell_angle_beta 90.00
_cell_angle_gamma 90.00
_space_group_name_H-M_alt 'P 4/m b m'
_space_group_IT_number 127
_space_group_name_Hall '-P 4 2ab'
loop_
_atom_site_label
_atom_site_type_symbol
_atom_site_fract_x
_atom_site_fract_y
_atom_site_fract_z
_atom_site_occupancy
Nd1 Nd 0.000 0.000 0.000 1
Nd2 Nd 0.048 0.261 0.000 1
Nd3 Nd 0.132 0.632 0.500 1
Al1 Al 0.000 0.500 0.000 1
Al2 Al 0.098 0.861 0.500 1
Al3 Al 0.214 0.286 0.500 1
Co1 Co 0.073 0.427 0.500 1
Co2 Co 0.165 0.788 0.000 1
```

No. 5
Simulated powder diffractogram of NdAlCo4 for Cu Kα, from the PBE geometry in the Materials Project.
Lines closer than 0.1° are merged.

Most intense lines, 2θ from 15° to 90°, in order of falling intensity:
h k l, 2θ/deg, I_rel
1 1 1, 42.22, 100
1 0 1, 30.77, 74
2 0 0, 40.31, 54
1 1 0, 34.72, 29
2 0 2, 64.09, 26
3 0 1, 67.40, 24
0 0 2, 47.59, 23
2 1 1, 59.80, 23
2 2 0, 73.28, 18
1 1 3, 84.88, 12

Crystal structure
```
data_NdAlCo4
_chemical_formula_sum 'Nd1 Al1 Co4'
_cell_length_a 5.1671
_cell_length_b 5.1671
_cell_length_c 3.8213
_cell_angle_alpha 90.00
_cell_angle_beta 90.00
_cell_angle_gamma 120.00
_space_group_name_H-M_alt 'P -6 m 2'
_space_group_IT_number 187
_space_group_name_Hall 'P -6 2'
loop_
_atom_site_label
_atom_site_type_symbol
_atom_site_fract_x
_atom_site_fract_y
_atom_site_fract_z
_atom_site_occupancy
Nd1 Nd 0.0000 0.0000 0.0000 1
Al1 Al 0.3333 0.6667 0.0000 1
Co1 Co 0.5043 0.0085 0.5000 1
Co2 Co 0.6667 0.3333 0.0000 1
```

No. 6
Simulated powder diffractogram of Al2CoNi for Cu Kα, from the PBE geometry in the Materials Project.
Lines closer than 0.1° are merged.

Most intense lines, 2θ from 15° to 90°, in order of falling intensity:
h k l, 2θ/deg, I_rel
1 0 2, 44.51, 100
1 1 0, 44.72, 49
2 1 2, 82.28, 30
1 0 0, 31.21, 23
1 1 4, 81.83, 15
2 0 0, 65.09, 15
0 0 2, 30.92, 12
1 1 2, 55.36, 8
0 0 4, 64.44, 8
1 0 4, 73.34, 3

Crystal structure
```
data_Al2CoNi
_chemical_formula_sum 'Al2 Co1 Ni1'
_cell_length_a 2.866
_cell_length_b 2.866
_cell_length_c 5.784
_cell_angle_alpha 90.00
_cell_angle_beta 90.00
_cell_angle_gamma 90.00
_space_group_name_H-M_alt 'P 4/m m m'
_space_group_IT_number 123
_space_group_name_Hall '-P 4 2'
loop_
_atom_site_label
_atom_site_type_symbol
_atom_site_fract_x
_atom_site_fract_y
_atom_site_fract_z
_atom_site_occupancy
Al1 Al 0.000 0.000 0.247 1
Co1 Co 0.500 0.500 0.000 1
Ni1 Ni 0.500 0.500 0.500 1
```

No. 7
Simulated powder diffractogram of AlCoNi6 for Cu Kα, from the PBE geometry in the Materials Project.
Lines closer than 0.1° are merged.

Most intense lines, 2θ from 15° to 90°, in order of falling intensity:
h k l, 2θ/deg, I_rel
1 1 2, 44.49, 100
2 0 0, 51.91, 31
2 0 4, 76.31, 18
0 0 4, 51.70, 15
2 2 0, 76.48, 9
1 0 0, 25.25, 3
1 1 0, 36.01, 2
1 0 1, 28.30, 2
1 1 3, 53.52, 1
2 1 0, 58.57, 1

Crystal structure
```
data_AlCoNi6
_chemical_formula_sum 'Al1 Co1 Ni6'
_cell_length_a 3.523
_cell_length_b 3.523
_cell_length_c 7.073
_cell_angle_alpha 90.00
_cell_angle_beta 90.00
_cell_angle_gamma 90.00
_space_group_name_H-M_alt 'P 4/m m m'
_space_group_IT_number 123
_space_group_name_Hall '-P 4 2'
loop_
_atom_site_label
_atom_site_type_symbol
_atom_site_fract_x
_atom_site_fract_y
_atom_site_fract_z
_atom_site_occupancy
Al1 Al 0.000 0.000 0.000 1
Co1 Co 0.000 0.000 0.500 1
Ni1 Ni 0.000 0.500 0.256 1
Ni2 Ni 0.500 0.500 0.000 1
Ni3 Ni 0.500 0.500 0.500 1
```

No. 8
Simulated powder diffractogram of Pr2AlCo2 for Cu Kα, from the PBE geometry in the Materials Project.
Lines closer than 0.1° are merged.

Most intense lines, 2θ from 15° to 90°, in order of falling intensity:
h k l, 2θ/deg, I_rel
2 2 -1, 37.57, 100
1 1 -3, 38.72, 87
0 2 1, 33.83, 87
2 2 1, 40.47, 71
2 0 -2, 26.89, 70
2 0 2, 34.12, 63
1 1 2, 32.05, 56
3 1 -1, 32.47, 55
4 0 0, 38.44, 53
5 1 -3, 56.53, 52

Crystal structure
```
data_Pr2AlCo2
_chemical_formula_sum 'Pr8 Al4 Co8'
_cell_length_a 9.636
_cell_length_b 5.672
_cell_length_c 7.652
_cell_angle_alpha 90.00
_cell_angle_beta 103.57
_cell_angle_gamma 90.00
_space_group_name_H-M_alt 'C 1 2/c 1'
_space_group_IT_number 15
loop_
_space_group_symop_operation_xyz
'x,y,z'
'-x,-y,-z'
'-x,y,-z+1/2'
'x,-y,z+1/2'
'x+1/2,y+1/2,z'
'-x+1/2,-y+1/2,-z'
'-x+1/2,y+1/2,-z+1/2'
'x+1/2,-y+1/2,z+1/2'
loop_
_atom_site_label
_atom_site_type_symbol
_atom_site_fract_x
_atom_site_fract_y
_atom_site_fract_z
_atom_site_occupancy
Pr1 Pr 0.146 0.144 0.147 1
Al1 Al 0.000 0.383 0.750 1
Co1 Co 0.143 0.358 0.505 1
```